Simulated XRD peak list
Compound: MgTe4Mo4S4
Radiation: copper Kα
Structure: a PBE-relaxed structure
Kinematic intensities with the Lorentz-polarization factor, no thermal factor.

Atomic structure:
Lattice parameters (Å, degrees): 5.847 3.375 42.278 90.00 90.01 90.00
Space group Cm (No. 8)
Inequivalent atoms, fractional coordinates:
Mg 0.000 0.000 0.000 x2
Te 0.332 0.000 0.671 x2
Te 0.332 0.000 0.761 x2
Te 0.499 0.500 0.235 x2
Te 0.499 0.500 0.324 x2
Mo 0.000 0.000 0.098 x2
Mo 0.332 0.000 0.280 x2
Mo 0.333 0.000 0.900 x2
Mo 0.499 0.500 0.716 x2
S 0.332 0.000 0.062 x2
S 0.334 0.000 0.133 x2
S 0.499 0.500 0.865 x2
S 0.499 0.500 0.936 x2

Peak list (10 most intense, 2θ from 10° to 90°, low angle first)
index  2theta  I/Imax
0 0 5  10.46  100
0 0 6  12.56  14
0 0 9  18.89  13
1 1 0  30.61  47
2 0 -5  32.41  11
1 1 -8  35.08  58
1 1 10  37.40  32
1 1 13  41.54  52
2 0 14  43.07  11
3 1 0  54.36  23